This entry pairs a crystal structure of BaLiFeN2 with its theoretical XRD peak list. Radiation: λ = 1.5418 Å (Cu Kα). Structure: a DFT-relaxed cell (GGA-PBE, Alexandria).
Intensities are scaled so that the largest is 1000.

The 10 most intense peaks (2θ from 5° to 70°), in order of rising 2θ:
17.40°, d = 5.097 Å, I 258
26.93°, d = 3.311 Å, I 1000
30.91°, d = 2.893 Å, I 398
34.86°, d = 2.574 Å, I 922
38.60°, d = 2.332 Å, I 510
41.47°, d = 2.177 Å, I 363
47.27°, d = 1.923 Å, I 269
53.01°, d = 1.728 Å, I 225
62.26°, d = 1.491 Å, I 229
62.60°, d = 1.484 Å, I 299

Structural model:
```
BaLiFeN2
1.0
2.3499 -5.7867 0.0000
2.3499 5.7867 0.0000
0.0000 0.0000 5.0969
Ba Li Fe N
2 2 2 4
Direct
0.2500 0.7500 0.7534 Ba
0.7500 0.2500 0.2466 Ba
0.0000 0.0000 0.5000 Li
0.5000 0.5000 0.5000 Li
0.2500 0.2500 0.0000 Fe
0.7500 0.7500 0.0000 Fe
0.0982 0.9018 0.1910 N
0.4018 0.5982 0.1910 N
0.5982 0.4018 0.8090 N
0.9018 0.0982 0.8090 N
```